No. 1
Calculated PXRD pattern of CsPdBr3 for Cu Ka, from a crystal structure in the Materials Project, relaxed with GGA-PBE.

Most intense lines, 2θ = 10–90°, in order of rising 2θ:
2θ/deg  intensity
23.6  52
29.0  61
33.6  100
41.5  23
48.3  71
57.3  26
60.1  24
65.5  12
70.7  11
80.6  31

Atomic structure:
Lattice parameters (Å, degrees): 5.3316 5.3328 5.3333 89.98 89.99 89.98
Space group P1 (No. 1)
Unique sites:
Cs 0.0000 0.0000 0.0000 (multiplicity 1)
Pd 0.5055 0.4925 0.5016 (multiplicity 1)
Br 0.0053 0.4973 0.5017 (multiplicity 1)
Br 0.4997 0.9928 0.4989 (multiplicity 1)
Br 0.5042 0.4960 0.0015 (multiplicity 1)


No. 2
Calculated PXRD pattern of Cs2PdBr6 for Cu Ka, from a crystal structure in the Materials Project, relaxed with GGA-PBE.

Most intense lines, 2θ = 10–90°, in order of rising 2θ:
2θ/deg  intensity
14.0  40
22.9  29
28.1  100
32.6  91
42.8  15
46.8  61
55.5  38
58.2  20
77.8  24
86.9  17

Atomic structure:
Lattice parameters (Å, degrees): 10.9860 10.9860 10.9860 90.00 90.00 90.00
Space group Fm-3m (No. 225)
Unique sites:
Cs 0.2500 0.2500 0.2500 (multiplicity 8)
Pd 0.0000 0.0000 0.0000 (multiplicity 4)
Br 0.0000 0.0000 0.2297 (multiplicity 24)


No. 3
Calculated PXRD pattern of CsPtBr3 for Cu Ka, from a crystal structure in the Materials Project, relaxed with GGA-PBE.

Most intense lines, 2θ = 10–90°, in order of rising 2θ:
2θ/deg  intensity
15.3  100
21.9  49
23.5  33
23.8  22
28.6  23
31.1  23
32.3  34
34.9  29
38.3  21
48.3  21

Atomic structure:
Lattice parameters (Å, degrees): 16.0026 5.1421 11.5537 90.00 90.00 90.00
Space group Pnma (No. 62)
Unique sites:
Cs 0.0439 0.2500 0.2426 (multiplicity 4)
Pt 0.1920 0.2500 0.7059 (multiplicity 4)
Br 0.0634 0.2500 0.5922 (multiplicity 4)
Br 0.1828 0.7500 0.3248 (multiplicity 4)
Br 0.1882 0.7500 0.7303 (multiplicity 4)


No. 4
Calculated PXRD pattern of Cs2PtBr6 for Cu Ka, from a crystal structure in the Materials Project, relaxed with GGA-PBE.

Most intense lines, 2θ = 10–90°, in order of rising 2θ:
2θ/deg  intensity
13.9  82
22.8  51
26.8  22
28.0  69
32.4  100
42.5  27
46.5  68
55.1  24
57.8  22
77.2  26

Atomic structure:
Lattice parameters (Å, degrees): 11.0489 11.0489 11.0489 90.00 90.00 90.00
Space group Fm-3m (No. 225)
Unique sites:
Cs 0.2500 0.2500 0.2500 (multiplicity 8)
Pt 0.0000 0.0000 0.0000 (multiplicity 4)
Br 0.0000 0.0000 0.2274 (multiplicity 24)